This entry pairs a crystal structure of Al38O21 with its simulated powder diffraction line list. Radiation: CuKα. Structure: a PBE-relaxed structure.

Top 10 peaks for 5 to 70 degrees two-theta, low angle first:
two_theta, Rel. int.
5.17, 1000
6.90, 198
22.57, 77
36.83, 91
38.06, 77
38.12, 113
38.56, 141
38.68, 206
39.08, 97
45.00, 85

Lattice parameters (Å, degrees): 5.6132 5.6597 51.2646 90.33 90.83 119.34
Sites, in units of the cell vectors:
Al: 0.0000 0.0000 0.0000
Al: 0.9997 0.5003 0.0001
Al: 0.0228 0.4236 0.6992
Al: 0.1075 0.3176 0.7683
Al: 0.1156 0.8148 0.7750
Al: 0.1424 0.3182 0.9092
Al: 0.1429 0.8192 0.9092
Al: 0.1997 0.6991 0.6400
Al: 0.2160 0.3528 0.5949
Al: 0.2694 0.9984 0.4800
Al: 0.2752 0.9227 0.5795
Al: 0.2892 0.1424 0.8187
Al: 0.2922 0.6349 0.8179
Al: 0.3058 0.6589 0.5354
Al: 0.3167 0.6604 0.9542
Al: 0.3205 0.1621 0.9542
Al: 0.4661 0.9827 0.8631
Al: 0.4672 0.4793 0.8638
Al: 0.4749 0.9664 0.6840
Al: 0.4997 0.0017 0.0004
Al: 0.5013 0.5018 0.0001
Al: 0.5061 0.4102 0.7272
Al: 0.6112 0.3077 0.7750
Al: 0.6155 0.8216 0.7681
Al: 0.6399 0.8164 0.9091
Al: 0.6440 0.3182 0.9093
Al: 0.6590 0.2712 0.6281
Al: 0.7387 0.0852 0.4679
Al: 0.7900 0.6433 0.8183
Al: 0.7926 0.1359 0.8182
Al: 0.8015 0.8131 0.6231
Al: 0.8126 0.5190 0.5123
Al: 0.8162 0.1595 0.9542
Al: 0.8197 0.6616 0.9541
Al: 0.8267 0.0384 0.5443
Al: 0.9483 0.9345 0.7153
Al: 0.9654 0.9795 0.8637
Al: 0.9676 0.4829 0.8631
O: 0.0347 0.0869 0.4691
O: 0.0479 0.0535 0.5693
O: 0.0633 0.7717 0.6083
O: 0.1271 0.3199 0.7287
O: 0.1539 0.7979 0.5090
O: 0.2222 0.5822 0.5705
O: 0.2638 0.6158 0.6755
O: 0.3210 0.0773 0.7069
O: 0.4116 0.8568 0.4588
O: 0.4310 0.0448 0.6508
O: 0.4351 0.6406 0.6199
O: 0.4767 0.2444 0.5987
O: 0.5052 0.0104 0.5507
O: 0.6180 0.7842 0.7321
O: 0.6287 0.2909 0.4864
O: 0.6444 0.6909 0.5272
O: 0.8244 0.5701 0.7074
O: 0.8262 0.0790 0.6883
O: 0.8315 0.5817 0.6469
O: 0.9188 0.1763 0.6196
O: 0.9854 0.3425 0.5262

***

This entry pairs a crystal structure of Y2Cu2O5 with its simulated powder diffraction line list. Radiation: CuKα. Structure: a PBE-relaxed structure.

Top 10 peaks for 5 to 70 degrees two-theta, low angle first:
two_theta, Rel. int.
29.60, 329
29.72, 677
31.83, 468
32.72, 550
32.83, 1000
43.30, 232
50.53, 492
50.77, 226
57.33, 285
60.97, 301

Lattice parameters (Å, degrees): 6.2656 11.2461 7.1930 90.00 90.00 90.00
Sites, in units of the cell vectors:
Y: 0.2500 0.0214 0.1198
Y: 0.2500 0.4786 0.1198
Y: 0.2500 0.5214 0.6198
Y: 0.2500 0.9786 0.6198
Y: 0.7500 0.0214 0.3802
Y: 0.7500 0.4786 0.3802
Y: 0.7500 0.5214 0.8802
Y: 0.7500 0.9786 0.8802
Cu: 0.0714 0.2500 0.3488
Cu: 0.0883 0.2500 0.8726
Cu: 0.4117 0.7500 0.3726
Cu: 0.4286 0.7500 0.8488
Cu: 0.5714 0.2500 0.1512
Cu: 0.5883 0.2500 0.6274
Cu: 0.9117 0.7500 0.1274
Cu: 0.9286 0.7500 0.6512
O: 0.0702 0.0859 0.8567
O: 0.0702 0.4141 0.8567
O: 0.0961 0.0883 0.3861
O: 0.0961 0.4117 0.3861
O: 0.2455 0.7500 0.6194
O: 0.2545 0.2500 0.1194
O: 0.4039 0.5883 0.8861
O: 0.4039 0.9117 0.8861
O: 0.4298 0.5859 0.3567
O: 0.4298 0.9141 0.3567
O: 0.5702 0.0859 0.6433
O: 0.5702 0.4141 0.6433
O: 0.5961 0.0883 0.1139
O: 0.5961 0.4117 0.1139
O: 0.7455 0.7500 0.8806
O: 0.7545 0.2500 0.3806
O: 0.9039 0.5883 0.6139
O: 0.9039 0.9117 0.6139
O: 0.9298 0.5859 0.1433
O: 0.9298 0.9141 0.1433

***

This entry pairs a crystal structure of K3TiF6 with its simulated powder diffraction line list. Radiation: CuKα. Structure: a PBE-relaxed structure.

Top 10 peaks for 5 to 70 degrees two-theta, low angle first:
two_theta, Rel. int.
17.06, 107
19.72, 169
28.03, 1000
34.51, 222
40.06, 740
45.03, 40
49.60, 309
52.84, 54
57.94, 386
65.58, 184

Lattice parameters (Å, degrees): 6.3665 6.3665 6.3665 60.00 60.00 60.00
Sites, in units of the cell vectors:
K: 0.0000 0.0000 0.0000
K: 0.2500 0.2500 0.2500
K: 0.7500 0.7500 0.7500
Ti: 0.5000 0.5000 0.5000
F: 0.2793 0.2793 0.7207
F: 0.2793 0.7207 0.2793
F: 0.2793 0.7207 0.7207
F: 0.7207 0.2793 0.2793
F: 0.7207 0.2793 0.7207
F: 0.7207 0.7207 0.2793

***

This entry pairs a crystal structure of LiAl4Cd2O8 with its simulated powder diffraction line list. Radiation: CuKα. Structure: a PBE-relaxed structure.

Top 10 peaks for 5 to 70 degrees two-theta, low angle first:
two_theta, Rel. int.
17.37, 193
28.54, 1000
33.61, 866
44.66, 194
50.55, 337
53.86, 404
59.08, 350
62.08, 61
66.91, 120
69.72, 100

Lattice parameters (Å, degrees): 6.2543 6.2543 6.2543 60.00 60.00 60.00
Sites, in units of the cell vectors:
Li: 0.0000 0.0000 0.0000
Al: 0.4078 0.8641 0.8641
Al: 0.8641 0.4078 0.8641
Al: 0.8641 0.8641 0.4078
Al: 0.8641 0.8641 0.8641
Cd: 0.2500 0.2500 0.2500
Cd: 0.5000 0.5000 0.5000
O: 0.0573 0.6476 0.6476
O: 0.1069 0.1069 0.1069
O: 0.1069 0.1069 0.6793
O: 0.1069 0.6793 0.1069
O: 0.6476 0.0573 0.6476
O: 0.6476 0.6476 0.0573
O: 0.6476 0.6476 0.6476
O: 0.6793 0.1069 0.1069

***

This entry pairs a crystal structure of LiGdSe2 with its simulated powder diffraction line list. Radiation: CuKα. Structure: a PBE-relaxed structure.

Top 10 peaks for 5 to 70 degrees two-theta, low angle first:
two_theta, Rel. int.
13.62, 478
25.39, 373
31.07, 1000
34.06, 190
41.12, 88
43.97, 382
45.05, 355
46.25, 138
54.82, 198
64.78, 119

Lattice parameters (Å, degrees): 6.9215 6.9215 6.9215 34.61 34.61 34.61
Sites, in units of the cell vectors:
Li: 0.0000 0.0000 0.0000
Gd: 0.5000 0.5000 0.5000
Se: 0.2515 0.2515 0.2515
Se: 0.7485 0.7485 0.7485

***

This entry pairs a crystal structure of H3PbS2N3 with its simulated powder diffraction line list. Radiation: CuKα. Structure: a PBE-relaxed structure.

Top 10 peaks for 5 to 70 degrees two-theta, low angle first:
two_theta, Rel. int.
10.58, 1000
15.94, 305
18.41, 633
21.14, 438
21.38, 455
21.67, 338
26.13, 653
28.62, 245
30.32, 314
35.65, 263

Lattice parameters (Å, degrees): 6.2398 16.7227 5.8975 90.00 91.49 90.00
Sites, in units of the cell vectors:
H: 0.0221 0.1587 0.0292
H: 0.0221 0.3413 0.5292
H: 0.1748 0.7188 0.5560
H: 0.1748 0.7812 0.0560
H: 0.2174 0.6527 0.3546
H: 0.2174 0.8473 0.8546
H: 0.7826 0.1527 0.1454
H: 0.7826 0.3473 0.6454
H: 0.8252 0.2188 0.9440
H: 0.8252 0.2812 0.4440
H: 0.9779 0.6587 0.4708
H: 0.9779 0.8413 0.9708
Pb: 0.2231 0.5581 0.8125
Pb: 0.2231 0.9419 0.3125
Pb: 0.7769 0.0581 0.6875
Pb: 0.7769 0.4419 0.1875
S: 0.3459 0.0444 0.7863
S: 0.3459 0.4556 0.2863
S: 0.3796 0.1744 0.4758
S: 0.3796 0.3256 0.9758
S: 0.6204 0.6744 0.0242
S: 0.6204 0.8256 0.5242
S: 0.6541 0.5444 0.7137
S: 0.6541 0.9556 0.2137
N: 0.1390 0.6615 0.5040
N: 0.1390 0.8385 0.0040
N: 0.2338 0.1191 0.6280
N: 0.2338 0.3809 0.1280
N: 0.3782 0.6612 0.0247
N: 0.3782 0.8388 0.5247
N: 0.6218 0.1612 0.4753
N: 0.6218 0.3388 0.9753
N: 0.7662 0.6191 0.8720
N: 0.7662 0.8809 0.3720
N: 0.8610 0.1615 0.9960
N: 0.8610 0.3385 0.4960